(1)
Simulated X-ray diffraction stick pattern of DyZn12Rh6 for λ = 1.5418 Å (Cu Kα), from a crystal structure in Alexandria, relaxed with GGA-PBE.
Peak positions follow from Bragg's law for the DFT cell and can differ from measured ones.

Principal peaks in the range 10° ≤ 2θ ≤ 80°, low angle first:
d 3.369, 2θ 26.45, intensity 63; d 2.795, 2θ 32.03, intensity 76; d 2.574, 2θ 34.86, intensity 76; d 2.563, 2θ 35.01, intensity 100; d 1.984, 2θ 45.74, intensity 86; d 1.767, 2θ 51.73, intensity 69

Structural model:
abc: 11.1645 11.1645 8.7015
angles: 90.00 90.00 120.00
Space group R-3m (No. 166, hexagonal axes)
Symmetry-distinct sites (fractional):
1 Dy 0.0000 0.0000 0.0000 [3 per cell]
2 Zn 0.0000 0.3890 0.5000 [18 per cell]
3 Zn 0.0851 0.1701 0.3140 [18 per cell]
4 Rh 0.0443 0.5221 0.2498 [18 per cell]

(2)
Simulated X-ray diffraction stick pattern of AlZn12Ga2 for λ = 1.5418 Å (Cu Kα), from a crystal structure in Alexandria, relaxed with GGA-PBE.
Peak positions follow from Bragg's law for the DFT cell and can differ from measured ones.

Principal peaks in the range 10° ≤ 2θ ≤ 80°, low angle first:
d 2.526, 2θ 35.54, intensity 100; d 2.384, 2θ 37.74, intensity 33; d 2.287, 2θ 39.40, intensity 46; d 2.165, 2θ 41.72, intensity 39; d 2.006, 2θ 45.21, intensity 31; d 1.856, 2θ 49.10, intensity 56

Structural model:
abc: 5.2484 5.2484 18.6614
angles: 90.00 90.00 90.00
Space group P4/nbm (No. 125, origin choice 2)
Symmetry-distinct sites (fractional):
1 Al 0.2500 0.7500 0.0000 [2 per cell]
2 Zn 0.0014 0.5014 0.1035 [8 per cell]
3 Zn 0.0751 0.5751 0.5636 [8 per cell]
4 Zn 0.2500 0.2500 0.2042 [4 per cell]
5 Zn 0.2500 0.2500 0.3378 [4 per cell]
6 Ga 0.2500 0.7500 0.2636 [4 per cell]